1.
Diffraction record for Tb8Nd3Tl. The XRD peak list is simulated, not measured: it uses a cell relaxed with GGA-PBE and Cu Kα X-rays.

Structure:
abc: 8.6903 8.6903 11.3382
angles: 90.00 90.00 90.00
Space group I-42m (No. 121)
Symmetry-distinct sites (fractional):
1 Tb 0.1265 0.1265 0.2460
2 Tb 0.2471 0.2471 0.9842
3 Nd 0.0000 0.0000 0.0000
4 Nd 0.0000 0.5000 0.2500
5 Tl 0.0000 0.0000 0.5000

Most intense lines, 10° ≤ 2θ ≤ 80°, by angle:
Position (°2θ)	Rel. int.	h k l
14.4	33.4	1 1 0
24.2	62.9	2 1 1
25.8	40.0	2 0 2
29.1	77.5	2 2 0
31.6	66.6	0 0 4
33.1	29.4	2 1 3
33.2	31.1	2 2 2
36.3	100.0	3 1 2
43.4	48.5	2 2 4
44.7	62.3	4 0 2
59.4	27.7	3 1 6
69.6	27.4	4 4 4

2.
Diffraction record for PrDyMgTc. The XRD peak list is simulated, not measured: it uses a cell relaxed with GGA-PBE and Cu Kα X-rays.

Structure:
abc: 7.2544 7.2544 7.2544
angles: 90.00 90.00 90.00
Space group F-43m (No. 216)
Symmetry-distinct sites (fractional):
1 Pr 0.0000 0.0000 0.0000
2 Dy 0.0000 0.0000 0.5000
3 Mg 0.2500 0.2500 0.2500
4 Tc 0.2500 0.2500 0.7500

Most intense lines, 10° ≤ 2θ ≤ 80°, by angle:
Position (°2θ)	Rel. int.	h k l
21.2	7.8	1 1 1
24.5	20.5	2 0 0
35.0	100.0	2 2 0
41.3	4.1	3 1 1
43.2	6.3	2 2 2
50.3	17.7	4 0 0
55.2	1.7	3 3 1
56.8	8.6	4 2 0
62.7	36.2	4 2 2
67.0	1.3	5 1 1
73.9	11.1	4 4 0
79.2	4.2	6 0 0

3.
Diffraction record for Rb4MgSe4O14. The XRD peak list is simulated, not measured: it uses a cell relaxed with GGA-PBE and Cu Kα X-rays.

Structure:
abc: 15.3922 8.4483 7.4416
angles: 90.00 102.92 90.00
Space group C2 (No. 5)
Symmetry-distinct sites (fractional):
1 Rb 0.1436 0.0000 0.4529
2 Rb 0.1680 0.4373 0.9286
3 Mg 0.0000 0.7782 0.0000
4 Se 0.0820 0.5182 0.3874
5 Se 0.0954 0.0431 0.9018
6 O 0.0000 0.1429 0.0000
7 O 0.0000 0.4195 0.5000
8 O 0.0205 0.5893 0.1906
9 O 0.0347 0.9373 0.7250
10 O 0.1215 0.8894 0.0631
11 O 0.1359 0.6479 0.5351
12 O 0.1415 0.3647 0.3529
13 O 0.1935 0.1001 0.8458

Most intense lines, 10° ≤ 2θ ≤ 80°, by angle:
Position (°2θ)	Rel. int.	h k l
18.1	20.5	1 1 1
21.0	100.0	0 2 0
23.7	33.4	4 0 0
24.5	24.4	0 0 2
24.8	50.5	2 0 -2
26.0	55.5	3 1 1
29.7	22.3	2 0 2
31.4	43.2	5 1 -1
31.9	25.0	4 2 0
32.7	45.7	2 2 -2
36.6	23.7	2 2 2
37.1	16.3	4 2 -2

4.
Diffraction record for K2BeO. The XRD peak list is simulated, not measured: it uses a cell relaxed with GGA-PBE and Cu Kα X-rays.

Structure:
abc: 5.3021 5.3021 9.2270
angles: 90.00 90.00 90.00
Space group I4mm (No. 107)
Symmetry-distinct sites (fractional):
1 K 0.0000 0.5000 0.0000
2 Be 0.0000 0.0000 0.2610
3 O 0.0000 0.0000 0.4136

Most intense lines, 10° ≤ 2θ ≤ 80°, by angle:
Position (°2θ)	Rel. int.	h k l
19.3	100.0	0 0 2
23.7	42.5	1 1 0
30.7	84.9	1 1 2
33.8	52.9	2 0 0
39.2	49.2	2 0 2
46.2	26.3	1 1 4
48.6	16.9	2 2 0
52.6	15.5	2 0 4
52.7	17.2	2 2 2
58.6	21.9	3 1 2
65.6	11.5	1 1 6
69.3	12.9	3 1 4

5.
Diffraction record for NdSm2TaN4. The XRD peak list is simulated, not measured: it uses a cell relaxed with GGA-PBE and Cu Kα X-rays.

Structure:
abc: 6.8656 6.9786 9.7728
angles: 90.00 90.00 90.00
Space group Imma (No. 74)
Symmetry-distinct sites (fractional):
1 Nd 0.0000 0.0000 0.0000
2 Sm 0.0000 0.0000 0.5000
3 Sm 0.2500 0.2500 0.2500
4 Ta 0.2500 0.2500 0.7500
5 N 0.0000 0.0328 0.7485
6 N 0.2468 0.2500 0.5264

Most intense lines, 10° ≤ 2θ ≤ 80°, by angle:
Position (°2θ)	Rel. int.	h k l
31.5	72.2	0 2 2
31.9	69.6	2 0 2
36.7	100.0	2 2 0
52.4	11.6	0 4 0
53.0	45.2	2 2 4
53.4	11.3	4 0 0
62.7	21.8	2 4 2
63.0	10.8	0 2 6
63.2	10.7	2 0 6
63.3	20.7	4 2 2
65.8	11.5	0 4 4
66.6	11.3	4 0 4

6.
Diffraction record for RbMgTc3. The XRD peak list is simulated, not measured: it uses a cell relaxed with GGA-PBE and Cu Kα X-rays.

Structure:
abc: 4.9471 4.9471 4.9471
angles: 90.00 90.00 90.00
Space group Pm-3m (No. 221)
Symmetry-distinct sites (fractional):
1 Rb 0.0000 0.0000 0.0000
2 Mg 0.5000 0.5000 0.5000
3 Tc 0.0000 0.5000 0.5000

Most intense lines, 10° ≤ 2θ ≤ 80°, by angle:
Position (°2θ)	Rel. int.	h k l
17.9	3.9	1 0 0
31.3	100.0	1 1 1
36.3	65.1	2 0 0
40.8	1.8	2 1 0
52.3	44.6	2 2 0
55.7	0.8	3 0 0
62.2	40.2	3 1 1
65.3	15.0	2 2 2
77.1	6.9	4 0 0

7.
Diffraction record for BaTi2F11. The XRD peak list is simulated, not measured: it uses a cell relaxed with GGA-PBE and Cu Kα X-rays.

Structure:
abc: 11.2813 8.2506 10.9580
angles: 90.00 90.00 90.00
Space group Ima2 (No. 46)
Symmetry-distinct sites (fractional):
1 Ba 0.0000 0.0000 0.0000
2 Ti 0.2500 0.1663 0.7119
3 Ti 0.2500 0.6757 0.7851
4 F 0.1349 0.1511 0.8329
5 F 0.1352 0.2436 0.1086
6 F 0.1350 0.6571 0.6642
7 F 0.1370 0.7046 0.3688
8 F 0.2500 0.0713 0.2678
9 F 0.2500 0.5320 0.9293
10 F 0.2500 0.5448 0.1691

Most intense lines, 10° ≤ 2θ ≤ 80°, by angle:
Position (°2θ)	Rel. int.	h k l
13.4	72.2	0 1 1
20.7	100.0	2 1 1
22.6	83.6	2 0 2
24.4	20.7	1 2 1
26.7	35.8	2 2 0
27.1	29.0	0 2 2
38.7	17.4	4 2 0
41.9	29.4	4 1 3
42.2	18.4	4 2 2
42.7	15.8	2 2 4
46.2	19.0	4 0 4
46.9	19.0	4 3 1

8.
Diffraction record for Rb3Sb2Br9. The XRD peak list is simulated, not measured: it uses a cell relaxed with GGA-PBE and Cu Kα X-rays.

Structure:
abc: 14.0224 7.9315 23.9749
angles: 90.00 123.91 90.00
Space group P2_1/c (No. 14)
Symmetry-distinct sites (fractional):
1 Rb 0.0410 0.0172 0.3959
2 Rb 0.3006 0.5209 0.7750
3 Rb 0.3750 0.0155 0.0617
4 Sb 0.1696 0.5006 0.3387
5 Sb 0.3274 0.5044 0.1606
6 Br 0.0502 0.6939 0.7525
7 Br 0.0952 0.5715 0.4180
8 Br 0.1609 0.1899 0.5621
9 Br 0.1926 0.7200 0.6145
10 Br 0.2371 0.0891 0.7437
11 Br 0.2800 0.2219 0.4109
12 Br 0.3613 0.6882 0.4146
13 Br 0.4154 0.5702 0.0875
14 Br 0.4824 0.1982 0.2193

Most intense lines, 10° ≤ 2θ ≤ 80°, by angle:
Position (°2θ)	Rel. int.	h k l
15.5	25.2	1 1 1
15.7	32.3	1 1 -3
26.2	64.4	3 1 -6
26.7	27.8	4 0 -2
26.9	29.1	0 0 6
27.5	46.8	2 2 -4
31.3	100.0	2 2 2
31.7	65.7	4 0 -8
34.6	26.6	3 1 3
39.2	50.0	3 3 -3
45.0	24.1	6 2 -6
45.3	24.0	2 2 -10

Which formula does entry 2 have?
PrDyMgTc